The following is a computed powder XRD pattern of Li2PuMg3O6. It was derived from a GGA-PBE-relaxed structure, using Cu Kα (weighted mean of Kα1 and Kα2).
Intensities are scaled so that the largest is 100.

Most intense lines, 2θ = 5–70°, most intense first:
- 2θ 20.0, rel. 100
- 2θ 22.6, rel. 79
- 2θ 26.0, rel. 57
- 2θ 41.1, rel. 55
- 2θ 19.2, rel. 55
- 2θ 30.2, rel. 38
- 2θ 35.6, rel. 35
- 2θ 17.3, rel. 31
- 2θ 41.5, rel. 27
- 2θ 35.3, rel. 24
- 2θ 39.5, rel. 19
- 2θ 59.5, rel. 17

```
data_Li2PuMg3O6
_chemical_formula_sum 'Li4 Pu2 Mg6 O12'
_cell_length_a 5.3299
_cell_length_b 9.2672
_cell_length_c 5.3941
_cell_angle_alpha 90.00
_cell_angle_beta 108.61
_cell_angle_gamma 90.00
_symmetry_space_group_name_H-M 'C 1 2/m 1'
_symmetry_Int_Tables_number 12
loop_
_symmetry_equiv_pos_as_xyz
'x,y,z'
'-x,-y,-z'
'-x,y,-z'
'x,-y,z'
'x+1/2,y+1/2,z'
'-x+1/2,-y+1/2,-z'
'-x+1/2,y+1/2,-z'
'x+1/2,-y+1/2,z'
loop_
_atom_site_label
_atom_site_type_symbol
_atom_site_fract_x
_atom_site_fract_y
_atom_site_fract_z
Li1 Li 0.0000 0.1655 0.0000
Pu1 Pu 0.0000 0.5000 0.0000
Mg1 Mg 0.0000 0.0000 0.5000
Mg2 Mg 0.0000 0.3251 0.5000
O1 O 0.2405 0.5000 0.7358
O2 O 0.2447 0.1647 0.7328
```

=====

The following is a computed powder XRD pattern of RbLiMg6O7. It was derived from a GGA-PBE-relaxed structure, using Cu Kα (weighted mean of Kα1 and Kα2).
Intensities are scaled so that the largest is 100.

Most intense lines, 2θ = 5–70°, most intense first:
- 2θ 43.5, rel. 100
- 2θ 31.7, rel. 72
- 2θ 22.7, rel. 64
- 2θ 31.4, rel. 54
- 2θ 26.4, rel. 47
- 2θ 34.2, rel. 45
- 2θ 63.3, rel. 29
- 2θ 54.9, rel. 28
- 2θ 23.2, rel. 26
- 2θ 66.3, rel. 25
- 2θ 15.4, rel. 22
- 2θ 38.0, rel. 21

```
data_RbLiMg6O7
_chemical_formula_sum 'Rb1 Li1 Mg6 O7'
_cell_length_a 4.1566
_cell_length_b 4.1566
_cell_length_c 11.5255
_cell_angle_alpha 90.00
_cell_angle_beta 90.00
_cell_angle_gamma 90.00
_symmetry_space_group_name_H-M 'P 4 m m'
_symmetry_Int_Tables_number 99
loop_
_symmetry_equiv_pos_as_xyz
'x,y,z'
'-y,x,z'
'-x,-y,z'
'y,-x,z'
'-x,y,z'
'y,x,z'
'x,-y,z'
'-y,-x,z'
loop_
_atom_site_label
_atom_site_type_symbol
_atom_site_fract_x
_atom_site_fract_y
_atom_site_fract_z
Rb1 Rb 0.0000 0.0000 0.0000
Li1 Li 0.0000 0.0000 0.4887
Mg1 Mg 0.0000 0.5000 0.2981
Mg2 Mg 0.0000 0.5000 0.6673
Mg3 Mg 0.5000 0.5000 0.4656
Mg4 Mg 0.5000 0.5000 0.8553
O1 O 0.0000 0.0000 0.2646
O2 O 0.0000 0.0000 0.6569
O3 O 0.0000 0.5000 0.4848
O4 O 0.0000 0.5000 0.8430
O5 O 0.5000 0.5000 0.2899
```

=====

The following is a computed powder XRD pattern of LiMg2RhO4. It was derived from a GGA-PBE-relaxed structure, using Cu Kα (weighted mean of Kα1 and Kα2).
Intensities are scaled so that the largest is 100.

Most intense lines, 2θ = 5–70°, most intense first:
- 2θ 23.4, rel. 100
- 2θ 42.4, rel. 73
- 2θ 21.1, rel. 47
- 2θ 61.9, rel. 42
- 2θ 36.7, rel. 41
- 2θ 29.7, rel. 40
- 2θ 42.9, rel. 35
- 2θ 49.0, rel. 26
- 2θ 38.4, rel. 25
- 2θ 61.6, rel. 22
- 2θ 47.8, rel. 21
- 2θ 53.0, rel. 15

```
data_LiMg2RhO4
_chemical_formula_sum 'Li2 Mg4 Rh2 O8'
_cell_length_a 4.2598
_cell_length_b 4.2598
_cell_length_c 8.4323
_cell_angle_alpha 90.00
_cell_angle_beta 90.00
_cell_angle_gamma 90.00
_symmetry_space_group_name_H-M 'I -4 m 2'
_symmetry_Int_Tables_number 119
_symmetry_space_group_name_Hall 'I -4 -2'
loop_
_atom_site_label
_atom_site_type_symbol
_atom_site_fract_x
_atom_site_fract_y
_atom_site_fract_z
Li1 Li 0.0000 0.0000 0.0000
Mg1 Mg 0.0000 0.0000 0.5000
Mg2 Mg 0.0000 0.5000 0.2500
Rh1 Rh 0.0000 0.5000 0.7500
O1 O 0.0000 0.0000 0.2567
O2 O 0.0000 0.5000 0.5027
```

=====

The following is a computed powder XRD pattern of Li2MgRuO6. It was derived from a GGA-PBE-relaxed structure, using Cu Kα (weighted mean of Kα1 and Kα2).
Intensities are scaled so that the largest is 100.

Most intense lines, 2θ = 5–70°, most intense first:
- 2θ 24.2, rel. 100
- 2θ 20.6, rel. 64
- 2θ 23.9, rel. 55
- 2θ 40.3, rel. 34
- 2θ 21.1, rel. 30
- 2θ 21.0, rel. 29
- 2θ 34.3, rel. 27
- 2θ 34.2, rel. 26
- 2θ 49.6, rel. 20
- 2θ 60.9, rel. 19
- 2θ 34.0, rel. 18
- 2θ 55.2, rel. 18

```
data_Li2MgRuO6
_chemical_formula_sum 'Li4 Mg2 Ru2 O12'
_cell_length_a 5.1248
_cell_length_b 5.2766
_cell_length_c 9.0211
_cell_angle_alpha 90.00
_cell_angle_beta 124.28
_cell_angle_gamma 90.00
_symmetry_space_group_name_H-M 'P 1 21/c 1'
_symmetry_Int_Tables_number 14
loop_
_symmetry_equiv_pos_as_xyz
'x,y,z'
'-x,-y,-z'
'-x,y+1/2,-z+1/2'
'x,-y+1/2,z+1/2'
loop_
_atom_site_label
_atom_site_type_symbol
_atom_site_fract_x
_atom_site_fract_y
_atom_site_fract_z
Li1 Li 0.2366 0.0441 0.2440
Mg1 Mg 0.0000 0.0000 0.5000
Ru1 Ru 0.5000 0.0000 0.0000
O1 O 0.1461 0.0547 0.7618
O2 O 0.2416 0.6658 0.5558
O3 O 0.4149 0.1908 0.5685
```

=====

The following is a computed powder XRD pattern of LiMg2RuO6. It was derived from a GGA-PBE-relaxed structure, using Cu Kα (weighted mean of Kα1 and Kα2).
Intensities are scaled so that the largest is 100.

Most intense lines, 2θ = 5–70°, most intense first:
- 2θ 20.9, rel. 100
- 2θ 39.9, rel. 48
- 2θ 23.6, rel. 47
- 2θ 19.0, rel. 43
- 2θ 52.9, rel. 43
- 2θ 32.5, rel. 41
- 2θ 34.8, rel. 29
- 2θ 62.3, rel. 21
- 2θ 48.3, rel. 19
- 2θ 60.9, rel. 16
- 2θ 37.9, rel. 16
- 2θ 54.7, rel. 11

```
data_LiMg2RuO6
_chemical_formula_sum 'Li3 Mg6 Ru3 O18'
_cell_length_a 5.1595
_cell_length_b 5.1595
_cell_length_c 14.0263
_cell_angle_alpha 90.00
_cell_angle_beta 90.00
_cell_angle_gamma 120.00
_symmetry_space_group_name_H-M 'R 3'
_symmetry_Int_Tables_number 146
_symmetry_space_group_name_Hall 'R 3'
loop_
_atom_site_label
_atom_site_type_symbol
_atom_site_fract_x
_atom_site_fract_y
_atom_site_fract_z
Li1 Li 0.0000 0.0000 0.0000
Mg1 Mg 0.0000 0.0000 0.2797
Mg2 Mg 0.0000 0.0000 0.7834
Ru1 Ru 0.0000 0.0000 0.4778
O1 O 0.0023 0.7091 0.3890
O2 O 0.0101 0.3647 0.2130
```

=====

The following is a computed powder XRD pattern of Li2MgSiO4. It was derived from a GGA-PBE-relaxed structure, using Cu Kα (weighted mean of Kα1 and Kα2).
Intensities are scaled so that the largest is 100.

Most intense lines, 2θ = 5–70°, most intense first:
- 2θ 24.2, rel. 100
- 2θ 33.2, rel. 82
- 2θ 36.0, rel. 67
- 2θ 16.2, rel. 53
- 2θ 58.8, rel. 41
- 2θ 38.0, rel. 41
- 2θ 32.8, rel. 38
- 2θ 66.1, rel. 34
- 2θ 28.8, rel. 31
- 2θ 49.8, rel. 23
- 2θ 37.6, rel. 21
- 2θ 59.7, rel. 21

```
data_Li2MgSiO4
_chemical_formula_sum 'Li4 Mg2 Si2 O8'
_cell_length_a 6.1961
_cell_length_b 5.4624
_cell_length_c 4.9833
_cell_angle_alpha 90.00
_cell_angle_beta 90.00
_cell_angle_gamma 90.00
_symmetry_space_group_name_H-M 'P m n 21'
_symmetry_Int_Tables_number 31
loop_
_symmetry_equiv_pos_as_xyz
'x,y,z'
'-x+1/2,-y,z+1/2'
'-x,y,z'
'x+1/2,-y,z+1/2'
loop_
_atom_site_label
_atom_site_type_symbol
_atom_site_fract_x
_atom_site_fract_y
_atom_site_fract_z
Li1 Li 0.2488 0.1666 0.0000
Mg1 Mg 0.0000 0.3422 0.4998
Si1 Si 0.0000 0.6749 0.0078
O1 O 0.0000 0.3867 0.8997
O2 O 0.0000 0.6732 0.3391
O3 O 0.2204 0.8163 0.9012
```

=====

The following is a computed powder XRD pattern of Li2MgSiO4. It was derived from a GGA-PBE-relaxed structure, using Cu Kα (weighted mean of Kα1 and Kα2).
Intensities are scaled so that the largest is 100.

Most intense lines, 2θ = 5–70°, most intense first:
- 2θ 21.6, rel. 100
- 2θ 22.4, rel. 93
- 2θ 32.7, rel. 90
- 2θ 35.4, rel. 76
- 2θ 33.2, rel. 45
- 2θ 58.9, rel. 45
- 2θ 33.6, rel. 29
- 2θ 49.0, rel. 26
- 2θ 58.0, rel. 24
- 2θ 34.3, rel. 21
- 2θ 41.9, rel. 20
- 2θ 23.9, rel. 20

```
data_Li2MgSiO4
_chemical_formula_sum 'Li8 Mg4 Si4 O16'
_cell_length_a 10.8058
_cell_length_b 5.0689
_cell_length_c 6.3562
_cell_angle_alpha 90.00
_cell_angle_beta 90.00
_cell_angle_gamma 90.00
_symmetry_space_group_name_H-M 'P n a 21'
_symmetry_Int_Tables_number 33
loop_
_symmetry_equiv_pos_as_xyz
'x,y,z'
'-x,-y,z+1/2'
'-x+1/2,y+1/2,z+1/2'
'x+1/2,-y+1/2,z'
loop_
_atom_site_label
_atom_site_type_symbol
_atom_site_fract_x
_atom_site_fract_y
_atom_site_fract_z
Li1 Li 0.0747 0.2067 0.0000
Li2 Li 0.1606 0.8066 0.2489
Mg1 Mg 0.1659 0.8076 0.7464
Si1 Si 0.0873 0.3104 0.4976
O1 O 0.0572 0.7935 0.9943
O2 O 0.0911 0.6368 0.5012
O3 O 0.1598 0.2004 0.7103
O4 O 0.1604 0.2054 0.2842
```

=====

The following is a computed powder XRD pattern of LiMg4SnO8. It was derived from a GGA-PBE-relaxed structure, using Cu Kα (weighted mean of Kα1 and Kα2).
Intensities are scaled so that the largest is 100.

Most intense lines, 2θ = 5–70°, most intense first:
- 2θ 19.1, rel. 100
- 2θ 34.6, rel. 76
- 2θ 31.7, rel. 55
- 2θ 24.5, rel. 48
- 2θ 57.8, rel. 38
- 2θ 29.5, rel. 38
- 2θ 61.2, rel. 31
- 2θ 53.7, rel. 31
- 2θ 16.9, rel. 27
- 2θ 43.8, rel. 26
- 2θ 38.7, rel. 25
- 2θ 55.7, rel. 20

```
data_LiMg4SnO8
_chemical_formula_sum 'Li2 Mg8 Sn2 O16'
_cell_length_a 6.0535
_cell_length_b 6.0535
_cell_length_c 10.0603
_cell_angle_alpha 90.00
_cell_angle_beta 90.00
_cell_angle_gamma 120.00
_symmetry_space_group_name_H-M 'P 63 m c'
_symmetry_Int_Tables_number 186
_symmetry_space_group_name_Hall 'P 6c -2c'
loop_
_atom_site_label
_atom_site_type_symbol
_atom_site_fract_x
_atom_site_fract_y
_atom_site_fract_z
Li1 Li 0.0000 0.0000 0.0000
Mg1 Mg 0.1701 0.3402 0.2817
Mg2 Mg 0.3333 0.6667 0.5880
Sn1 Sn 0.3333 0.6667 0.0054
O1 O 0.0000 0.0000 0.1840
O2 O 0.0302 0.5151 0.1470
O3 O 0.1637 0.3275 0.8990
O4 O 0.3333 0.6667 0.3917
```

=====

Question: Which formula does entry 7 have?
Answer: Li2MgSiO4